Computed XRD peak list
Compound: HgAsPb2
Radiation: λ = 1.5418 Å (Cu Kα)
Structure: the PBE geometry in Alexandria
Peak positions follow from Bragg's law for the DFT cell and can differ from measured ones.

Structural model:
a b c (Å): 4.3524 24.1846 4.4073
angles (deg): 90.00 90.00 90.00
Element x y z (fractional)
Hg: 0.0000 0.0511 0.2500
Hg: 0.0000 0.9489 0.7500
Hg: 0.5000 0.4489 0.7500
Hg: 0.5000 0.5511 0.2500
As: 0.0000 0.3134 0.2500
As: 0.0000 0.6866 0.7500
As: 0.5000 0.1866 0.7500
As: 0.5000 0.8134 0.2500
Pb: 0.0000 0.1897 0.2500
Pb: 0.0000 0.4294 0.2500
Pb: 0.0000 0.5706 0.7500
Pb: 0.0000 0.8103 0.7500
Pb: 0.5000 0.0706 0.7500
Pb: 0.5000 0.3103 0.7500
Pb: 0.5000 0.6897 0.2500
Pb: 0.5000 0.9294 0.2500

Top 10 peaks for 15° ≤ 2θ ≤ 90°, in order of rising 2θ:
two_theta, I (rel.), (hkl)
29.1, 100, 1 1 1
29.5, 57, 0 8 0
30.9, 31, 1 3 1
34.4, 27, 1 5 1
39.1, 47, 1 7 1
41.0, 28, 0 0 2
41.5, 27, 2 0 0
44.6, 26, 1 9 1
51.3, 25, 0 8 2
51.8, 25, 2 8 0